[1]
Theoretical X-ray powder pattern
Compound: La3Tb2DySe6
Radiation: Cu Kα, 1.54184 Å
Structure: a DFT-relaxed cell (GGA-PBE, Alexandria)
Neutral-atom scattering factors, no anomalous dispersion.

```
12
Lattice="3.606 -6.269 0.000 3.606 6.269 0.000 -2.415 0.000 6.948" Properties=species:S:1:pos:R:3 pbc="T T T"
La 0.000 0.000 0.000
La 3.606 2.098 0.000
La 3.606 -2.098 0.000
Tb 2.399 4.180 3.474
Tb 2.399 -4.180 3.474
Dy 2.399 0.000 3.474
Se 1.205 2.082 1.863
Se 0.000 0.000 5.091
Se 1.205 -2.082 1.863
Se 3.592 2.082 5.085
Se 4.797 0.000 1.857
Se 3.592 -2.082 5.085
```

Peak list (10 most intense, 10° ≤ 2θ ≤ 90°, sorted by position)
d [Å]  intensity
3.413  13
2.969  100
2.113  37
2.090  12
2.084  25
1.737  6
1.708  13
1.484  12
1.335  11
1.320  11



[2]
Theoretical X-ray powder pattern
Compound: LaDyTm2Se6
Radiation: Cu Kα, 1.54184 Å
Structure: a DFT-relaxed cell (GGA-PBE, Alexandria)
Neutral-atom scattering factors, no anomalous dispersion.

```
10
Lattice="3.637 2.100 6.443 -3.637 2.100 6.443 0.000 -4.200 6.443" Properties=species:S:1:pos:R:3 pbc="T T T"
La 0.000 0.000 0.000
Dy 0.000 0.000 9.504
Tm 0.000 0.000 5.672
Tm 0.000 0.000 15.422
Se -2.145 -0.215 7.553
Se -1.400 -2.162 10.770
Se 1.259 -1.750 7.552
Se -1.172 2.294 10.770
Se 0.886 1.965 7.552
Se 2.572 -0.132 10.770
```

Peak list (10 most intense, 10° ≤ 2θ ≤ 90°, sorted by position)
d [Å]  intensity
5.278  46
3.834  64
3.637  45
3.167  60
2.639  47
2.412  100
2.136  39
2.100  65
1.849  33
1.264  25



[3]
Theoretical X-ray powder pattern
Compound: La2DySi2
Radiation: Cu Kα, 1.54184 Å
Structure: a DFT-relaxed cell (GGA-PBE, Alexandria)
Neutral-atom scattering factors, no anomalous dispersion.

```
10
Lattice="7.694 0.000 0.000 0.000 7.694 0.000 0.000 0.000 4.515" Properties=species:S:1:pos:R:3 pbc="T T T"
La 1.367 2.480 0.000
La 2.480 6.327 0.000
La 5.214 1.367 0.000
La 6.327 5.214 0.000
Dy 0.000 0.000 2.257
Dy 3.847 3.847 2.257
Si 0.872 4.719 2.257
Si 2.975 0.872 2.257
Si 4.719 6.823 2.257
Si 6.823 2.975 2.257
```

Peak list (10 most intense, 10° ≤ 2θ ≤ 90°, sorted by position)
d [Å]  intensity
3.474  44
3.441  33
2.928  100
2.737  79
2.720  25
2.433  48
2.257  26
1.725  19
1.683  28
1.655  29



[4]
Theoretical X-ray powder pattern
Compound: LaDy2Si6
Radiation: Cu Kα, 1.54184 Å
Structure: a DFT-relaxed cell (GGA-PBE, Alexandria)
Neutral-atom scattering factors, no anomalous dispersion.

```
9
Lattice="7.148 0.000 0.000 -3.574 6.190 0.000 0.000 0.000 4.039" Properties=species:S:1:pos:R:3 pbc="T T T"
La 0.000 0.000 0.000
Dy 0.000 4.127 0.000
Dy 3.574 2.063 0.000
Si -1.207 2.090 2.020
Si -2.367 4.100 2.020
Si 2.413 0.000 2.020
Si 1.207 2.090 2.020
Si 4.735 0.000 2.020
Si 2.367 4.100 2.020
```

Peak list (10 most intense, 10° ≤ 2θ ≤ 90°, sorted by position)
d [Å]  intensity
4.039  12
3.574  49
2.677  100
2.063  31
2.020  10
1.837  9
1.758  14
1.634  22
1.443  20
1.281  20



[5]
Theoretical X-ray powder pattern
Compound: La3Sm3Dy8
Radiation: Cu Kα, 1.54184 Å
Structure: a DFT-relaxed cell (GGA-PBE, Alexandria)
Neutral-atom scattering factors, no anomalous dispersion.

```
14
Lattice="-2.863 5.421 7.657 2.863 -5.421 7.657 2.863 5.421 -7.657" Properties=species:S:1:pos:R:3 pbc="T T T"
La 0.000 0.000 0.000
La 2.863 0.000 2.855
La 0.000 5.421 4.802
Sm 2.863 2.176 0.000
Sm 0.000 0.000 7.657
Sm 0.000 3.245 7.657
Dy 2.863 3.665 -3.354
Dy 2.863 -1.732 6.096
Dy 0.000 3.689 1.561
Dy 0.000 1.756 4.304
Dy 2.863 3.665 3.354
Dy 2.863 1.732 6.096
Dy 0.000 7.154 1.561
Dy 0.000 1.756 11.011
```

Peak list (10 most intense, 10° ≤ 2θ ≤ 90°, sorted by position)
d [Å]  intensity
3.054  31
2.950  33
2.863  53
2.839  100
2.701  59
2.418  13
2.054  24
1.648  20
1.621  22
1.502  15



[6]
Theoretical X-ray powder pattern
Compound: La8Sm4Dy
Radiation: Cu Kα, 1.54184 Å
Structure: a DFT-relaxed cell (GGA-PBE, Alexandria)
Neutral-atom scattering factors, no anomalous dispersion.

```
13
Lattice="5.951 3.436 3.987 -5.951 3.436 3.987 0.000 -6.872 3.987" Properties=species:S:1:pos:R:3 pbc="T T T"
La 0.000 -3.440 4.049
La -2.980 1.720 4.049
La 0.000 0.000 2.850
La -2.980 -1.720 7.910
La 2.980 1.720 4.049
La 0.000 0.000 9.110
La 2.980 -1.720 7.910
La 0.000 3.440 7.910
Sm 0.000 0.000 0.000
Sm -2.976 -1.718 3.987
Sm -2.976 1.718 7.973
Sm 0.000 3.436 3.987
Dy 0.000 0.000 5.980
```

Peak list (10 most intense, 10° ≤ 2θ ≤ 90°, sorted by position)
d [Å]  intensity
3.987  29
3.312  19
2.976  100
2.385  45
1.718  20
1.656  18
1.578  13
1.488  12
1.394  10
1.125  10



[7]
Theoretical X-ray powder pattern
Compound: La5Sm12Dy2
Radiation: Cu Kα, 1.54184 Å
Structure: a DFT-relaxed cell (GGA-PBE, Alexandria)
Neutral-atom scattering factors, no anomalous dispersion.

```
19
Lattice="-2.609 5.103 12.700 2.609 -5.103 12.700 2.609 5.103 -12.700" Properties=species:S:1:pos:R:3 pbc="T T T"
La 0.000 0.000 0.000
La 0.000 0.000 5.026
La 2.609 0.000 7.647
La 0.000 5.103 5.053
La 0.000 0.000 20.374
Sm 2.609 2.578 -4.993
Sm 2.609 0.000 2.495
Sm 2.609 -2.476 10.279
Sm 0.000 2.627 2.421
Sm 0.000 0.000 10.188
Sm 2.609 2.578 4.993
Sm 0.000 2.526 7.707
Sm 0.000 0.000 15.213
Sm 2.609 2.476 10.279
Sm 0.000 7.580 2.421
Sm 0.000 5.103 10.205
Sm 0.000 2.526 17.694
Dy 2.609 2.453 0.000
Dy 0.000 2.651 12.700
```

Peak list (10 most intense, 10° ≤ 2θ ≤ 90°, sorted by position)
d [Å]  intensity
2.963  100
2.609  18
2.552  17
2.540  16
1.824  12
1.820  12
1.566  15
1.541  14
1.536  13
1.482  12



[8]
Theoretical X-ray powder pattern
Compound: LaSm7Dy2
Radiation: Cu Kα, 1.54184 Å
Structure: a DFT-relaxed cell (GGA-PBE, Alexandria)
Neutral-atom scattering factors, no anomalous dispersion.

```
10
Lattice="6.277 0.000 0.000 2.078 6.943 0.000 2.097 1.244 7.729" Properties=species:S:1:pos:R:3 pbc="T T T"
La 0.000 0.000 0.000
Sm 1.039 3.472 0.000
Sm 3.133 2.834 4.625
Sm 3.146 0.944 1.563
Sm 4.192 4.410 1.562
Sm 6.261 3.778 6.166
Sm 7.306 7.244 6.165
Sm 7.320 5.354 3.103
Dy 4.170 6.302 4.626
Dy 6.283 1.885 3.102
```

Peak list (10 most intense, 10° ≤ 2θ ≤ 90°, sorted by position)
d [Å]  intensity
2.960  100
2.563  51
1.815  12
1.812  24
1.547  18
1.545  25
1.481  6
1.479  6
1.176  7
1.146  12



[9]
Theoretical X-ray powder pattern
Compound: LaSm4Dy8
Radiation: Cu Kα, 1.54184 Å
Structure: a DFT-relaxed cell (GGA-PBE, Alexandria)
Neutral-atom scattering factors, no anomalous dispersion.

```
13
Lattice="5.530 3.193 4.523 -5.530 3.193 4.523 0.000 -6.385 4.523" Properties=species:S:1:pos:R:3 pbc="T T T"
La 0.000 0.000 0.000
Sm -5.530 0.000 6.785
Sm -2.765 1.596 2.262
Sm 2.765 1.596 2.262
Sm 0.000 0.000 6.785
Dy 0.000 0.000 3.548
Dy 0.000 -3.045 5.699
Dy -2.637 1.523 5.699
Dy -2.637 -1.523 7.871
Dy 2.637 1.523 5.699
Dy 2.637 -1.523 7.871
Dy 0.000 3.045 7.871
Dy 0.000 0.000 10.022
```

Peak list (10 most intense, 10° ≤ 2θ ≤ 90°, sorted by position)
d [Å]  intensity
4.518  12
3.912  9
3.499  5
2.767  100
2.359  7
1.956  18
1.598  28
1.596  9
1.383  11
1.237  15



[10]
Theoretical X-ray powder pattern
Compound: La2Sm3Dy
Radiation: Cu Kα, 1.54184 Å
Structure: a DFT-relaxed cell (GGA-PBE, Alexandria)
Neutral-atom scattering factors, no anomalous dispersion.

```
12
Lattice="7.124 0.000 0.000 0.000 10.000 0.000 0.000 0.000 5.785" Properties=species:S:1:pos:R:3 pbc="T T T"
La 1.773 1.677 0.000
La 1.789 6.677 2.892
La 5.334 3.322 2.892
La 5.351 8.322 0.000
Sm 0.000 5.000 0.000
Sm 1.779 3.328 2.892
Sm 1.783 8.328 0.000
Sm 3.562 0.000 2.892
Sm 5.340 1.672 0.000
Sm 5.345 6.671 2.892
Dy 0.000 0.000 2.892
Dy 3.562 5.000 0.000
```

Peak list (10 most intense, 10° ≤ 2θ ≤ 90°, sorted by position)
d [Å]  intensity
2.902  92
2.890  100
2.244  9
2.048  34
1.670  49
1.516  29
1.294  11
1.218  14
1.122  11
1.092  13



[11]
Theoretical X-ray powder pattern
Compound: La7Sm2Dy2
Radiation: Cu Kα, 1.54184 Å
Structure: a DFT-relaxed cell (GGA-PBE, Alexandria)
Neutral-atom scattering factors, no anomalous dispersion.

```
11
Lattice="5.798 -5.819 0.000 5.798 5.819 0.000 -2.285 0.000 5.799" Properties=species:S:1:pos:R:3 pbc="T T T"
La 0.000 0.000 0.000
La 1.785 3.115 4.749
La 7.526 3.115 1.050
La 4.478 0.000 1.151
La 4.832 0.000 4.649
La 1.785 -3.115 4.749
La 7.526 -3.115 1.050
Sm 1.278 0.000 3.431
Sm 8.033 0.000 2.369
Dy 4.655 3.339 2.900
Dy 4.655 -3.339 2.900
```

Peak list (10 most intense, 10° ≤ 2θ ≤ 90°, sorted by position)
d [Å]  intensity
3.551  19
3.065  12
2.995  29
2.923  100
2.909  41
2.883  24
2.712  34
2.688  32
2.048  13
1.862  17



[12]
Theoretical X-ray powder pattern
Compound: LaSm15Dy4
Radiation: Cu Kα, 1.54184 Å
Structure: a DFT-relaxed cell (GGA-PBE, Alexandria)
Neutral-atom scattering factors, no anomalous dispersion.

```
20
Lattice="5.118 0.000 0.000 0.000 5.118 0.000 0.000 0.000 25.595" Properties=species:S:1:pos:R:3 pbc="T T T"
La 0.000 0.000 0.000
Sm 0.000 2.559 2.622
Sm 0.000 2.559 7.708
Sm 0.000 2.559 12.798
Sm 0.000 2.559 17.888
Sm 0.000 2.559 22.974
Sm 2.559 0.000 2.622
Sm 2.559 0.000 7.708
Sm 2.559 0.000 12.798
Sm 2.559 0.000 17.888
Sm 2.559 0.000 22.974
Sm 2.559 2.559 0.000
Sm 2.559 2.559 5.182
Sm 2.559 2.559 10.253
Sm 2.559 2.559 15.343
Sm 2.559 2.559 20.413
Dy 0.000 0.000 5.157
Dy 0.000 0.000 10.253
Dy 0.000 0.000 15.343
Dy 0.000 0.000 20.439
```

Peak list (9 most intense, 10° ≤ 2θ ≤ 90°, sorted by position)
d [Å]  intensity
2.955  100
2.559  51
1.810  36
1.543  43
1.478  12
1.280  6
1.174  17
1.145  5
1.144  11